Calculated powder diffraction line list of Na3As2Pt3 for Cu Kα, 1.54184 Å, from DFT lattice parameters and positions (PBE).
Lines closer than 0.1° are merged.

Top 10 peaks for 2θ from 10° to 80°, most intense first:
2θ (°)	intensity	h k l
18.98	100.0	1 0 1
37.77	73.6	1 3 2
37.28	63.5	3 0 1
23.65	62.3	0 3 1
19.90	60.2	1 1 1
48.58	56.3	2 7 0
11.90	49.0	0 2 0
46.97	46.1	1 7 1
26.20	42.6	1 3 1
41.17	40.1	1 4 2

Cell lengths 7.962, 14.872, 5.779 Å; angles 90.00, 90.00, 90.00 degrees
Fractional coordinates of all 32 atoms:
Na 0.008 0.115 0.111
Na 0.008 0.385 0.111
Na 0.157 0.750 0.445
Na 0.343 0.250 0.945
Na 0.492 0.615 0.611
Na 0.492 0.885 0.611
Na 0.508 0.115 0.389
Na 0.508 0.385 0.389
Na 0.657 0.750 0.055
Na 0.843 0.250 0.555
Na 0.992 0.615 0.889
Na 0.992 0.885 0.889
As 0.165 0.098 0.602
As 0.165 0.402 0.602
As 0.335 0.598 0.102
As 0.335 0.902 0.102
As 0.665 0.098 0.898
As 0.665 0.402 0.898
As 0.835 0.598 0.398
As 0.835 0.902 0.398
Pt 0.126 0.543 0.375
Pt 0.126 0.957 0.375
Pt 0.199 0.250 0.464
Pt 0.301 0.750 0.964
Pt 0.374 0.043 0.875
Pt 0.374 0.457 0.875
Pt 0.626 0.543 0.125
Pt 0.626 0.957 0.125
Pt 0.699 0.250 0.036
Pt 0.801 0.750 0.536
Pt 0.874 0.043 0.625
Pt 0.874 0.457 0.625